For SrLiEuSb, a PBE-relaxed structure gives the calculated X-ray powder pattern in this record (Cu Kα, 1.54184 Å).
Neutral-atom scattering factors, no anomalous dispersion.

Atomic structure:
a = 7.910 Å, b = 7.910 Å, c = 7.910 Å
α = 90.00°, β = 90.00°, γ = 90.00°
Space group F-43m (No. 216)
Inequivalent atoms, fractional coordinates:
1 Sr 0.000 0.000 0.000 x4
2 Li 0.250 0.250 0.750 x4
3 Eu 0.000 0.000 0.500 x4
4 Sb 0.250 0.250 0.250 x4

Principal peaks in the range 2θ = 15–90°, by angle:
Position (°2θ)  Rel. int.  index
19.44  30  1 1 1
22.48  12  2 0 0
32.00  100  2 2 0
37.72  17  3 1 1
45.89  18  4 0 0
50.28  7  3 3 1
51.68  5  4 2 0
57.04  38  4 2 2
60.85  5  5 1 1
66.91  12  4 4 0
70.42  5  5 3 1
76.11  16  6 2 0



For LiEu2Si3, a PBE-relaxed structure gives the calculated X-ray powder pattern in this record (Cu Kα, 1.54184 Å).
Neutral-atom scattering factors, no anomalous dispersion.

Atomic structure:
a = 15.321 Å, b = 4.503 Å, c = 7.807 Å
α = 90.00°, β = 104.70°, γ = 90.00°
Space group C2/m (No. 12)
Inequivalent atoms, fractional coordinates:
1 Li 0.213 0.000 0.274 x4
2 Eu 0.112 0.500 0.430 x4
3 Eu 0.123 0.500 0.936 x4
4 Si 0.044 0.000 0.147 x4
5 Si 0.047 0.000 0.649 x4
6 Si 0.205 0.000 0.712 x4

Principal peaks in the range 2θ = 15–90°, by angle:
Position (°2θ)  Rel. int.  index
20.62  31  1 1 0
23.57  22  2 0 -2
24.02  29  4 0 0
26.79  26  3 1 0
29.16  26  4 0 -2
32.68  100  1 1 2
36.29  28  5 1 0
38.12  13  6 0 -2
40.05  18  0 2 0
48.94  14  6 0 2
60.39  12  3 1 4
68.12  12  1 3 2